Theoretical PXRD pattern
Compound: NiPC5O2
Radiation: copper Kα
Structure: a GGA+U-relaxed structure
Kinematic intensities with the Lorentz-polarization factor, no thermal factor.

Cell: 5.9998 14.9930 10.9603 Å, 90.00 120.42 90.00°
Space group P2_1/c (No. 14)
Unique sites:
1 Ni 0.2217 0.1126 0.2997 (multiplicity 4)
2 P 0.0321 0.2091 0.6987 (multiplicity 4)
3 C 0.0082 0.6752 0.3810 (multiplicity 4)
4 C 0.1239 0.2303 0.0812 (multiplicity 4)
5 C 0.2100 0.2416 0.9889 (multiplicity 4)
6 C 0.2243 0.2500 0.3787 (multiplicity 4)
7 C 0.3750 0.5220 0.9900 (multiplicity 4)
8 O 0.1619 0.0095 0.3934 (multiplicity 4)
9 O 0.4028 0.5866 0.0712 (multiplicity 4)

Peak list (10 most intense, 2θ from 10° to 80°, most intense first)
(hkl), 2θ (°), I (rel.)
0 1 1, 11.07, 100.0
0 2 1, 15.08, 69.1
1 1 0, 18.14, 66.6
1 1 -1, 15.93, 65.8
1 0 -2, 17.90, 50.0
1 1 -2, 18.85, 45.7
2 1 -2, 30.43, 26.6
1 2 0, 20.86, 23.4
1 0 0, 17.14, 21.5
0 3 2, 25.95, 17.5

---

Theoretical PXRD pattern
Compound: Mn3TeO6
Radiation: copper Kα
Structure: a GGA+U-relaxed structure
Kinematic intensities with the Lorentz-polarization factor, no thermal factor.

Cell: 6.3205 6.3233 6.3283 Å, 90.64 90.51 90.53°
Space group P-1 (No. 2)
Unique sites:
1 Mn 0.0506 0.0622 0.2484 (multiplicity 2)
2 Mn 0.2511 0.4488 0.9378 (multiplicity 2)
3 Mn 0.4382 0.7520 0.4492 (multiplicity 2)
4 Te 0.0000 0.5000 0.5000 (multiplicity 1)
5 Te 0.5000 0.0000 0.0000 (multiplicity 1)
6 O 0.0447 0.4154 0.2048 (multiplicity 2)
7 O 0.0844 0.7954 0.4557 (multiplicity 2)
8 O 0.2046 0.0699 0.9354 (multiplicity 2)
9 O 0.2954 0.4556 0.5843 (multiplicity 2)
10 O 0.4303 0.0645 0.2953 (multiplicity 2)
11 O 0.4349 0.7048 0.0687 (multiplicity 2)

Peak list (10 most intense, 2θ from 10° to 80°, most intense first)
(hkl), 2θ (°), I (rel.)
1 -1 2, 34.69, 100.0
2 0 0, 28.23, 99.6
2 -1 0, 31.51, 66.0
1 1 0, 19.96, 65.7
3 0 1, 45.50, 59.7
2 -3 1, 53.99, 56.7
1 -1 0, 19.76, 52.8
0 3 -1, 45.21, 39.0
3 -1 2, 54.32, 33.4
1 2 0, 31.77, 32.4

---

Theoretical PXRD pattern
Compound: InNi2SbO6
Radiation: copper Kα
Structure: a GGA+U-relaxed structure
Kinematic intensities with the Lorentz-polarization factor, no thermal factor.

Cell: 5.2863 5.2863 14.2400 Å, 90.00 90.00 120.00°
Space group R3 (No. 146, hexagonal axes)
Unique sites:
1 In 0.0000 0.0000 0.0000 (multiplicity 3)
2 Ni 0.0000 0.0000 0.2875 (multiplicity 3)
3 Ni 0.0000 0.0000 0.7927 (multiplicity 3)
4 Sb 0.0000 0.0000 0.4903 (multiplicity 3)
5 O 0.0150 0.7172 0.3943 (multiplicity 9)
6 O 0.0254 0.3482 0.5554 (multiplicity 9)

Peak list (10 most intense, 2θ from 10° to 80°, most intense first)
(hkl), 2θ (°), I (rel.)
1 0 4, 31.84, 100.0
1 1 0, 33.92, 94.6
0 1 2, 23.10, 58.4
2 -1 6, 51.77, 55.1
0 2 4, 47.21, 38.8
3 -1 4, 59.39, 36.0
3 0 0, 60.69, 31.0
1 0 10, 69.08, 14.0
2 2 0, 71.37, 11.1
2 0 2, 41.44, 9.5

---

Theoretical PXRD pattern
Compound: CoAgO2
Radiation: copper Kα
Structure: a GGA+U-relaxed structure
Kinematic intensities with the Lorentz-polarization factor, no thermal factor.

Cell: 2.9020 2.9020 12.3874 Å, 90.00 90.00 120.00°
Space group P6_3/mmc (No. 194)
Unique sites:
1 Co 0.0000 0.0000 0.0000 (multiplicity 2)
2 Ag 0.3333 0.6667 0.2500 (multiplicity 2)
3 O 0.3333 0.6667 0.0776 (multiplicity 4)

Peak list (10 most intense, 2θ from 10° to 80°, most intense first)
(hkl), 2θ (°), I (rel.)
1 0 1, 36.48, 100.0
1 0 2, 38.66, 82.3
0 0 4, 28.83, 67.4
1 0 5, 51.82, 36.8
1 0 6, 57.80, 34.5
1 1 0, 64.19, 28.7
1 1 4, 71.85, 27.3
1 0 3, 42.09, 26.5
1 0 7, 64.39, 15.3
0 0 2, 14.30, 10.4

---

Theoretical PXRD pattern
Compound: KMoPO6
Radiation: copper Kα
Structure: a GGA+U-relaxed structure
Kinematic intensities with the Lorentz-polarization factor, no thermal factor.

Cell: 11.3724 12.6252 15.6611 Å, 90.00 90.00 90.00°
Space group Fddd (No. 70, origin choice 2)
Unique sites:
1 K 0.0951 0.3750 0.3750 (multiplicity 16)
2 Mo 0.1250 0.3458 0.6250 (multiplicity 16)
3 P 0.1250 0.1250 0.4901 (multiplicity 16)
4 O 0.0339 0.0698 0.4291 (multiplicity 32)
5 O 0.0648 0.0388 0.7069 (multiplicity 32)
6 O 0.0777 0.3169 0.2031 (multiplicity 32)

Peak list (10 most intense, 2θ from 10° to 80°, most intense first)
(hkl), 2θ (°), I (rel.)
2 2 4, 31.14, 100.0
1 1 1, 11.90, 62.8
0 4 0, 28.32, 58.3
0 2 2, 18.05, 53.9
2 2 0, 21.03, 52.7
2 0 2, 19.29, 37.4
4 0 0, 31.47, 23.2
0 4 4, 36.54, 20.2
3 1 1, 25.18, 19.3
0 0 4, 22.71, 17.1

---

Theoretical PXRD pattern
Compound: Li9Mn2Co5O16
Radiation: copper Kα
Structure: a GGA+U-relaxed structure
Kinematic intensities with the Lorentz-polarization factor, no thermal factor.

Cell: 5.8993 2.8943 16.9715 Å, 90.00 90.24 90.00°
Space group P2/m (No. 10)
Unique sites:
1 Li 0.0000 0.0000 0.0000 (multiplicity 1)
2 Li 0.0000 0.0000 0.5000 (multiplicity 1)
3 Li 0.2542 0.5000 0.1235 (multiplicity 2)
4 Li 0.2574 0.5000 0.6172 (multiplicity 2)
5 Li 0.4977 0.0000 0.2557 (multiplicity 2)
6 Li 0.5000 0.0000 0.5000 (multiplicity 1)
7 Mn 0.0018 0.0000 0.2508 (multiplicity 2)
8 Co 0.2528 0.5000 0.8755 (multiplicity 2)
9 Co 0.2625 0.5000 0.3895 (multiplicity 2)
10 Co 0.5000 0.0000 0.0000 (multiplicity 1)
11 O 0.0217 0.0000 0.3629 (multiplicity 2)
12 O 0.0236 0.0000 0.8673 (multiplicity 2)
13 O 0.2203 0.5000 0.7487 (multiplicity 2)
14 O 0.2209 0.5000 0.2447 (multiplicity 2)
15 O 0.2435 0.5000 0.4940 (multiplicity 2)
16 O 0.2640 0.5000 0.0012 (multiplicity 2)
17 O 0.4793 0.0000 0.8772 (multiplicity 2)
18 O 0.4814 0.0000 0.3727 (multiplicity 2)

Peak list (10 most intense, 2θ from 10° to 80°, most intense first)
(hkl), 2θ (°), I (rel.)
1 0 -2, 18.28, 100.0
2 1 0, 43.82, 53.8
0 0 8, 42.62, 26.3
1 1 2, 36.17, 24.5
1 0 6, 35.25, 13.9
2 1 -8, 62.68, 13.9
2 1 8, 62.88, 12.9
1 1 -6, 47.48, 12.4
3 1 -2, 57.67, 9.7
4 0 0, 63.03, 7.3

---

Theoretical PXRD pattern
Compound: Mg2Nb2MoO8
Radiation: copper Kα
Structure: a GGA+U-relaxed structure
Kinematic intensities with the Lorentz-polarization factor, no thermal factor.

Cell: 19.4948 6.0131 5.3368 Å, 90.00 90.37 90.00°
Space group C2/c (No. 15)
Unique sites:
1 Mg 0.2254 0.1493 0.2372 (multiplicity 8)
2 Nb 0.1189 0.3409 0.7435 (multiplicity 8)
3 Mo 0.0000 0.1529 0.2500 (multiplicity 4)
4 O 0.0588 0.1216 0.5928 (multiplicity 8)
5 O 0.0705 0.3837 0.0751 (multiplicity 8)
6 O 0.1846 0.3950 0.4440 (multiplicity 8)
7 O 0.1943 0.1474 0.8713 (multiplicity 8)

Peak list (10 most intense, 2θ from 10° to 80°, most intense first)
(hkl), 2θ (°), I (rel.)
5 1 1, 32.17, 100.0
3 1 -1, 26.14, 98.2
8 2 1, 51.27, 93.6
0 2 1, 34.23, 92.1
5 1 -1, 32.01, 86.3
3 1 0, 20.12, 85.4
5 1 0, 27.26, 78.9
3 1 1, 26.26, 78.5
0 0 2, 33.59, 63.6
8 2 -1, 51.11, 52.1

---

Theoretical PXRD pattern
Compound: PbWO4
Radiation: copper Kα
Structure: a GGA+U-relaxed structure
Kinematic intensities with the Lorentz-polarization factor, no thermal factor.

Cell: 5.5580 5.5879 7.2781 Å, 112.00 112.43 90.36°
Space group P1 (No. 1)
Unique sites:
1 Pb 0.0000 0.0000 0.0000 (multiplicity 1)
2 Pb 0.2586 0.7497 0.4952 (multiplicity 1)
3 W 0.5100 0.4906 0.9936 (multiplicity 1)
4 W 0.7545 0.2500 0.4946 (multiplicity 1)
5 O 0.2923 0.6352 0.8204 (multiplicity 1)
6 O 0.3488 0.4517 0.1597 (multiplicity 1)
7 O 0.4281 0.0416 0.3392 (multiplicity 1)
8 O 0.5635 0.1692 0.8374 (multiplicity 1)
9 O 0.7122 0.5686 0.6635 (multiplicity 1)
10 O 0.8266 0.7164 0.1557 (multiplicity 1)
11 O 0.8987 0.3002 0.3213 (multiplicity 1)
12 O 0.9701 0.0872 0.6527 (multiplicity 1)

Peak list (10 most intense, 2θ from 10° to 80°, most intense first)
(hkl), 2θ (°), I (rel.)
1 1 0, 26.90, 100.0
-1 1 1, 26.73, 51.2
1 1 -2, 26.99, 49.5
0 0 2, 29.08, 34.2
2 0 1, 43.99, 29.4
0 2 -1, 32.04, 26.0
2 0 -1, 32.21, 25.7
1 -3 2, 54.05, 21.4
1 1 -4, 50.34, 18.2
3 1 -3, 54.36, 16.0